LaPr3Sm8: calculated powder XRD pattern (Cu Kα), based on a structure optimized by DFT (PBE).

Peak list (12 most intense, 10 to 80 degrees two-theta, by angle)
24.79°, intensity 26.6
29.80°, intensity 58.5
29.92°, intensity 100.0
30.40°, intensity 88.2
33.92°, intensity 23.0
35.16°, intensity 44.4
36.21°, intensity 34.6
41.12°, intensity 23.1
52.67°, intensity 16.4
58.28°, intensity 26.9
58.94°, intensity 23.9
62.18°, intensity 16.4

Atomic structure:
a b c (Å): 9.1293 9.1293 9.1293
angles (deg): 138.17 120.84 75.06
Positions (direct):
La 0.0000 0.0000 0.0000
Pr 0.3798 0.8798 0.5000
Pr 0.5000 0.5000 0.0000
Pr 0.6202 0.1202 0.5000
Sm 0.0644 0.0554 0.6936
Sm 0.0673 0.2696 0.5295
Sm 0.2599 0.7304 0.7977
Sm 0.3618 0.3708 0.3064
Sm 0.6382 0.9446 0.0091
Sm 0.7401 0.5378 0.4705
Sm 0.9327 0.4622 0.2023
Sm 0.9356 0.6292 0.9909



SmY5Bi5: calculated powder XRD pattern (Cu Kα), based on a structure optimized by DFT (PBE).

Peak list (12 most intense, 10 to 80 degrees two-theta, by angle)
10.49°, intensity 10.1
24.55°, intensity 18.2
28.37°, intensity 100.0
28.52°, intensity 49.0
40.59°, intensity 96.0
40.77°, intensity 18.9
50.25°, intensity 20.9
50.38°, intensity 20.6
66.45°, intensity 13.9
66.73°, intensity 13.2
73.76°, intensity 13.4
73.99°, intensity 13.2

Atomic structure:
a b c (Å): 7.6708 7.6708 8.8849
angles (deg): 106.64 106.64 48.52
Positions (direct):
Sm 0.0000 0.0000 0.0000
Y 0.0000 0.0000 0.5000
Y 0.3348 0.3348 0.1692
Y 0.3369 0.3369 0.6646
Y 0.6631 0.6631 0.3354
Y 0.6652 0.6652 0.8308
Bi 0.1680 0.1680 0.3383
Bi 0.1705 0.1705 0.8299
Bi 0.5000 0.5000 0.0000
Bi 0.8295 0.8295 0.1701
Bi 0.8320 0.8320 0.6617



SmBe3Ge3: calculated powder XRD pattern (Cu Kα), based on a structure optimized by DFT (PBE).

Peak list (12 most intense, 10 to 80 degrees two-theta, by angle)
20.02°, intensity 16.7
28.46°, intensity 43.5
31.90°, intensity 46.2
35.04°, intensity 100.0
40.68°, intensity 2.9
45.74°, intensity 4.2
52.60°, intensity 11.2
54.75°, intensity 55.1
58.89°, intensity 15.9
66.68°, intensity 15.2
68.55°, intensity 9.9
70.40°, intensity 12.9

Atomic structure:
a b c (Å): 6.2729 6.2729 6.2729
angles (deg): 90.00 90.00 90.00
Positions (direct):
Sm 0.0000 0.0000 0.0000
Sm 0.5000 0.5000 0.5000
Be 0.0000 0.2500 0.5000
Be 0.0000 0.7500 0.5000
Be 0.2500 0.5000 0.0000
Be 0.5000 0.0000 0.2500
Be 0.5000 0.0000 0.7500
Be 0.7500 0.5000 0.0000
Ge 0.0000 0.5000 0.2500
Ge 0.0000 0.5000 0.7500
Ge 0.2500 0.0000 0.5000
Ge 0.5000 0.2500 0.0000
Ge 0.5000 0.7500 0.0000
Ge 0.7500 0.0000 0.5000



SbOs3: calculated powder XRD pattern (Cu Kα), based on a structure optimized by DFT (PBE).

Peak list (12 most intense, 10 to 80 degrees two-theta, by angle)
18.90°, intensity 3.1
26.85°, intensity 1.4
36.38°, intensity 1.3
38.34°, intensity 61.5
41.31°, intensity 100.0
43.08°, intensity 0.8
49.96°, intensity 0.6
53.88°, intensity 0.9
55.34°, intensity 21.4
64.15°, intensity 6.9
71.34°, intensity 40.3
77.27°, intensity 16.2

Atomic structure:
a b c (Å): 4.6956 4.6956 2.9033
angles (deg): 90.00 90.00 90.00
Positions (direct):
Sb 0.0000 0.0000 0.0000
Os 0.0000 0.5000 0.5000
Os 0.5000 0.0000 0.5000
Os 0.5000 0.5000 0.0000



Hf2ZnGeBr: calculated powder XRD pattern (Cu Kα), based on a structure optimized by DFT (PBE).

Peak list (12 most intense, 10 to 80 degrees two-theta, by angle)
16.97°, intensity 39.4
17.40°, intensity 8.0
30.12°, intensity 100.0
34.34°, intensity 32.3
35.21°, intensity 60.4
39.33°, intensity 19.9
50.00°, intensity 44.5
50.65°, intensity 21.4
53.81°, intensity 8.2
58.91°, intensity 15.0
60.06°, intensity 28.2
62.62°, intensity 22.5

Atomic structure:
a b c (Å): 5.0978 5.0978 5.2234
angles (deg): 90.00 90.00 90.00
Positions (direct):
Hf 0.0000 0.5000 0.0000
Hf 0.5000 0.0000 0.0000
Zn 0.0000 0.0000 0.5000
Ge 0.5000 0.5000 0.0000
Br 0.5000 0.5000 0.5000



K3Er3RhO8: calculated powder XRD pattern (Cu Kα), based on a structure optimized by DFT (PBE).

Peak list (12 most intense, 10 to 80 degrees two-theta, by angle)
14.12°, intensity 100.0
28.47°, intensity 27.3
31.21°, intensity 32.6
32.30°, intensity 50.7
36.40°, intensity 71.0
39.22°, intensity 13.0
46.04°, intensity 18.7
49.93°, intensity 23.9
54.83°, intensity 21.4
56.92°, intensity 16.4
58.48°, intensity 13.2
62.93°, intensity 17.9

Atomic structure:
a b c (Å): 7.3674 7.3674 7.3674
angles (deg): 54.07 54.07 54.07
Positions (direct):
K 0.0000 0.5000 0.5000
K 0.5000 0.0000 0.5000
K 0.5000 0.5000 0.0000
Er 0.0000 0.0000 0.5000
Er 0.0000 0.5000 0.0000
Er 0.5000 0.0000 0.0000
Rh 0.5000 0.5000 0.5000
O 0.2271 0.2271 0.2271
O 0.2477 0.7133 0.7133
O 0.2867 0.2867 0.7523
O 0.2867 0.7523 0.2867
O 0.7133 0.2477 0.7133
O 0.7133 0.7133 0.2477
O 0.7523 0.2867 0.2867
O 0.7729 0.7729 0.7729